[1]
KMnHF6: computed X-ray diffraction stick pattern (CuKα), based on a cell relaxed with GGA+U.
Neutral-atom scattering factors, no anomalous dispersion.

Top 10 peaks for 15° ≤ 2θ ≤ 90°, by angle:
h k l	d_spacing	intensity
0 0 1	5.253	824
0 1 0	4.820	422
1 0 0	4.712	591
1 1 0	4.214	1000
1 0 1	3.691	918
0 1 -1	3.569	368
0 1 1	3.534	546
1 0 -1	3.350	523
1 2 1	2.334	555
1 1 -2	2.155	601

Structural model:
```
data_KMnHF6
_chemical_formula_sum 'K1 Mn1 H1 F6'
_cell_length_a 5.0785
_cell_length_b 5.1695
_cell_length_c 5.2800
_cell_angle_alpha 88.44
_cell_angle_beta 84.24
_cell_angle_gamma 68.80
_space_group_name_H-M_alt 'P 1'
_space_group_IT_number 1
_space_group_name_Hall 'P 1'
loop_
_atom_site_label
_atom_site_fract_x
_atom_site_fract_y
_atom_site_fract_z
_atom_site_occupancy
K1 0.0000 0.0000 0.0000 1
Mn1 0.5708 0.5854 0.5269 1
H1 0.5585 0.0912 0.5285 1
F1 0.2254 0.8039 0.4334 1
F2 0.4033 0.5133 0.8277 1
F3 0.5413 0.2614 0.3818 1
F4 0.5916 0.9124 0.6749 1
F5 0.7395 0.6518 0.2244 1
F6 0.9131 0.3730 0.6268 1
```

[2]
KMoH8N2F6: computed X-ray diffraction stick pattern (CuKα), based on a cell relaxed with GGA+U.
Neutral-atom scattering factors, no anomalous dispersion.

Top 10 peaks for 15° ≤ 2θ ≤ 90°, by angle:
h k l	d_spacing	intensity
1 1 1	5.367	541
2 0 0	4.648	1000
2 2 0	3.287	799
3 1 1	2.803	133
4 0 0	2.324	587
4 2 0	2.079	471
4 2 2	1.897	242
4 4 0	1.643	321
6 0 0	1.549	218
6 4 2	1.242	142

Structural model:
```
data_KMoH8N2F6
_chemical_formula_sum 'K4 Mo4 H32 N8 F24'
_cell_length_a 9.2957
_cell_length_b 9.2957
_cell_length_c 9.2957
_cell_angle_alpha 90.00
_cell_angle_beta 90.00
_cell_angle_gamma 90.00
_space_group_name_H-M_alt 'F m -3 m'
_space_group_IT_number 225
_space_group_name_Hall '-F 4 2 3'
loop_
_atom_site_label
_atom_site_fract_x
_atom_site_fract_y
_atom_site_fract_z
_atom_site_occupancy
K1 0.0000 0.0000 0.0000 1
Mo1 0.0000 0.0000 0.5000 1
H1 0.1859 0.1859 0.3141 1
N1 0.2500 0.2500 0.2500 1
F1 0.0000 0.0000 0.2753 1
```

[3]
K2MoHOF5: computed X-ray diffraction stick pattern (CuKα), based on a cell relaxed with GGA+U.
Neutral-atom scattering factors, no anomalous dispersion.

Top 10 peaks for 15° ≤ 2θ ≤ 90°, by angle:
h k l	d_spacing	intensity
1 1 -1	5.267	670
1 1 1	5.202	783
0 0 2	4.611	649
0 2 0	4.509	744
2 0 0	4.483	695
2 0 -2	3.244	400
0 2 2	3.224	717
2 0 2	3.181	1000
0 4 0	2.255	472
4 0 0	2.241	431

Structural model:
```
data_K2MoHOF5
_chemical_formula_sum 'K8 Mo4 H4 O4 F20'
_cell_length_a 8.9669
_cell_length_b 9.0181
_cell_length_c 9.2231
_cell_angle_alpha 90.00
_cell_angle_beta 91.07
_cell_angle_gamma 90.00
_space_group_name_H-M_alt 'C 1 2 1'
_space_group_IT_number 5
_space_group_name_Hall 'C 2y'
loop_
_atom_site_label
_atom_site_fract_x
_atom_site_fract_y
_atom_site_fract_z
_atom_site_occupancy
K1 0.0000 0.0000 0.0000 1
K2 0.0000 0.4740 0.0000 1
K3 0.2366 0.7370 0.7136 1
Mo1 0.2479 0.2370 0.7673 1
H1 0.0000 0.4812 0.5000 1
H2 0.0000 0.9940 0.5000 1
O1 0.2283 0.7371 0.4181 1
F1 0.0248 0.2370 0.7671 1
F2 0.0350 0.7370 0.1740 1
F3 0.2166 0.2370 0.9896 1
F4 0.2452 0.0167 0.7986 1
F5 0.2453 0.4574 0.7987 1
```